(1)
Diffraction record for Na2CrB2O6. The XRD peak list is computed, not measured: it uses DFT lattice parameters and positions (GGA+U) and Cu Kα X-rays.
Lines closer than 0.1° are merged.

Structure:
a = 5.0284 Å, b = 5.0284 Å, c = 5.9055 Å
α = 90.00°, β = 90.00°, γ = 120.00°
Positions (direct):
Na (0.3333, 0.6667, 0.3303)
Na (0.6667, 0.3333, 0.6697)
Cr (0.0000, 0.0000, 0.0000)
B (0.3333, 0.6667, 0.8180)
B (0.6667, 0.3333, 0.1820)
O (0.1138, 0.3604, 0.8035)
O (0.2466, 0.8862, 0.8035)
O (0.3604, 0.2466, 0.1965)
O (0.6396, 0.7534, 0.8035)
O (0.7534, 0.1138, 0.1965)
O (0.8862, 0.6396, 0.1965)

Most intense lines, 10 to 90 degrees two-theta, low angle first:
two_theta	intensity	hkl
15.00	82	0 0 1
25.41	100	1 0 1
35.71	33	1 1 0
36.78	78	1 0 2
44.34	50	2 0 1
52.20	27	0 2 2

***

(2)
Diffraction record for Na3CrB2O6. The XRD peak list is computed, not measured: it uses DFT lattice parameters and positions (GGA+U) and Cu Kα X-rays.
Lines closer than 0.1° are merged.

Structure:
a = 5.1429 Å, b = 5.1429 Å, c = 6.0380 Å
α = 90.00°, β = 90.00°, γ = 120.00°
Positions (direct):
Na (0.0000, 0.0000, 0.0000)
Na (0.3333, 0.6667, 0.7414)
Na (0.6667, 0.3333, 0.2586)
Cr (0.0000, 0.0000, 0.5000)
B (0.3333, 0.6667, 0.2952)
B (0.6667, 0.3333, 0.7048)
O (0.1781, 0.3561, 0.2902)
O (0.1781, 0.8219, 0.2902)
O (0.3561, 0.1781, 0.7098)
O (0.6439, 0.8219, 0.2902)
O (0.8219, 0.1781, 0.7098)
O (0.8219, 0.6439, 0.7098)

Most intense lines, 10 to 90 degrees two-theta, low angle first:
two_theta	intensity	hkl
14.67	64	0 0 1
19.94	63	1 0 0
34.89	63	1 1 0
35.94	100	1 0 2
43.30	63	2 0 1
50.96	72	2 0 2